# PrIr2
Simulated X-ray diffraction stick pattern, Cu Kα, 1.54184 Å. Input: a DFT-relaxed cell (PBE, the Materials Project).
Kinematic intensities with the Lorentz-polarization factor, no thermal factor.

Most intense lines, 2θ = 10–80°, sorted by position:
2theta  I/Imax
19.90  16
32.78  19
38.65  100
40.44  50
47.04  10
51.56  4
58.52  7
62.45  33
68.72  30
72.35  3

Structural model:
abc: 5.4637 5.4637 5.4637
angles: 60.00 60.00 60.00
Atoms (fractional coordinates):
Pr  0.1250  0.1250  0.1250
Pr  0.8750  0.8750  0.8750
Ir  0.0000  0.5000  0.5000
Ir  0.5000  0.0000  0.5000
Ir  0.5000  0.5000  0.0000
Ir  0.5000  0.5000  0.5000



# Pr5Ir2
Simulated X-ray diffraction stick pattern, Cu Kα, 1.54184 Å. Input: a DFT-relaxed cell (PBE, the Materials Project).
Kinematic intensities with the Lorentz-polarization factor, no thermal factor.

Most intense lines, 2θ = 10–80°, sorted by position:
2theta  I/Imax
19.05  72
29.10  40
29.82  67
30.49  79
31.56  52
33.55  100
34.12  52
34.46  45
38.16  39
38.99  46

Structural model:
abc: 9.0719 9.0719 7.3762
angles: 96.43 96.43 43.75
Atoms (fractional coordinates):
Pr  0.0678  0.9322  0.7500
Pr  0.1504  0.2848  0.3158
Pr  0.2848  0.1504  0.8158
Pr  0.2971  0.5181  0.0802
Pr  0.4819  0.7029  0.4198
Pr  0.5181  0.2971  0.5802
Pr  0.7029  0.4819  0.9198
Pr  0.7152  0.8496  0.1842
Pr  0.8496  0.7152  0.6842
Pr  0.9322  0.0678  0.2500
Ir  0.0984  0.6791  0.4261
Ir  0.3209  0.9016  0.0739
Ir  0.6791  0.0984  0.9261
Ir  0.9016  0.3209  0.5739